(1)
# Mg14CuNiO16
Simulated powder diffraction line list, Cu Kα X-rays. Input: the PBE+U geometry in the Materials Project.

Structure:
```
data_Mg14CuNiO16
_cell_length_a 4.241
_cell_length_b 8.494
_cell_length_c 8.530
_cell_angle_alpha 90.00
_cell_angle_beta 90.00
_cell_angle_gamma 90.00
_space_group_name_H-M_alt 'P m m m'
_space_group_IT_number 47
_space_group_name_Hall '-P 2 2'
loop_
_atom_site_label
_atom_site_fract_x
_atom_site_fract_y
_atom_site_fract_z
Mg1 0.000 0.000 0.000
Mg2 0.000 0.000 0.500
Mg3 0.000 0.252 0.249
Mg4 0.500 0.000 0.250
Mg5 0.500 0.251 0.000
Mg6 0.500 0.252 0.500
Mg7 0.500 0.500 0.249
Cu1 0.000 0.500 0.500
Ni1 0.000 0.500 0.000
O1 0.000 0.000 0.251
O2 0.000 0.248 0.000
O3 0.000 0.250 0.500
O4 0.000 0.500 0.241
O5 0.500 0.000 0.000
O6 0.500 0.000 0.500
O7 0.500 0.251 0.250
O8 0.500 0.500 0.000
O9 0.500 0.500 0.500
```

Main lines, by angle (15° ≤ 2θ ≤ 90°):
- hkl 0 0 2, d = 4.256 Å, intensity 8
- hkl 1 1 0, d = 3.794 Å, intensity 6
- hkl 1 0 2, d = 3.006 Å, intensity 10
- hkl 1 2 2, d = 2.454 Å, intensity 30
- hkl 0 0 4, d = 2.133 Å, intensity 51
- hkl 2 0 0, d = 2.122 Å, intensity 100
- hkl 2 0 4, d = 1.504 Å, intensity 57
- hkl 2 4 0, d = 1.500 Å, intensity 28
- hkl 3 2 2, d = 1.280 Å, intensity 11
- hkl 2 4 4, d = 1.227 Å, intensity 26

(2)
# LiMn4O8
Simulated powder diffraction line list, Cu Kα X-rays. Input: the PBE+U geometry in the Materials Project.

Structure:
```
data_LiMn4O8
_cell_length_a 5.914
_cell_length_b 9.762
_cell_length_c 9.489
_cell_angle_alpha 90.00
_cell_angle_beta 90.00
_cell_angle_gamma 90.00
_space_group_name_H-M_alt 'C m c 21'
_space_group_IT_number 36
_space_group_name_Hall 'C 2c -2'
loop_
_atom_site_label
_atom_site_fract_x
_atom_site_fract_y
_atom_site_fract_z
Li1 0.000 0.127 0.000
Mn1 0.000 0.145 0.435
Mn2 0.000 0.382 0.936
Mn3 0.245 0.380 0.211
O1 0.000 0.034 0.612
O2 0.000 0.221 0.798
O3 0.000 0.278 0.287
O4 0.000 0.479 0.115
O5 0.229 0.273 0.036
O6 0.249 0.483 0.858
```

Main lines, by angle (15° ≤ 2θ ≤ 90°):
- hkl 0 2 1, d = 4.340 Å, intensity 100
- hkl 0 2 3, d = 2.654 Å, intensity 34
- hkl 2 0 2, d = 2.509 Å, intensity 24
- hkl 2 2 1, d = 2.443 Å, intensity 38
- hkl 2 2 2, d = 2.232 Å, intensity 15
- hkl 2 4 2, d = 1.750 Å, intensity 34
- hkl 0 4 4, d = 1.701 Å, intensity 16
- hkl 2 2 5, d = 1.518 Å, intensity 17
- hkl 2 6 1, d = 1.410 Å, intensity 10
- hkl 2 0 6, d = 1.395 Å, intensity 10

(3)
# ZnMo2P2O9
Simulated powder diffraction line list, Cu Kα X-rays. Input: the PBE+U geometry in the Materials Project.

Structure:
```
data_ZnMo2P2O9
_cell_length_a 14.806
_cell_length_b 6.653
_cell_length_c 7.539
_cell_angle_alpha 90.00
_cell_angle_beta 90.00
_cell_angle_gamma 90.00
_space_group_name_H-M_alt 'P n m a'
_space_group_IT_number 62
_space_group_name_Hall '-P 2ac 2n'
loop_
_atom_site_label
_atom_site_fract_x
_atom_site_fract_y
_atom_site_fract_z
Zn1 0.234 0.250 0.043
Mo1 0.000 0.000 0.000
Mo2 0.123 0.250 0.633
P1 0.077 0.750 0.628
P2 0.190 0.750 0.105
O1 0.007 0.750 0.483
O2 0.029 0.750 0.816
O3 0.063 0.250 0.882
O4 0.134 0.552 0.105
O5 0.144 0.571 0.615
O6 0.240 0.250 0.452
O7 0.249 0.250 0.778
```

Main lines, by angle (15° ≤ 2θ ≤ 90°):
- hkl 2 0 1, d = 5.282 Å, intensity 59
- hkl 3 0 1, d = 4.130 Å, intensity 41
- hkl 0 0 2, d = 3.770 Å, intensity 48
- hkl 1 0 2, d = 3.653 Å, intensity 91
- hkl 0 2 0, d = 3.326 Å, intensity 45
- hkl 2 2 0, d = 3.034 Å, intensity 42
- hkl 1 2 1, d = 2.979 Å, intensity 100
- hkl 5 0 1, d = 2.756 Å, intensity 50
- hkl 5 1 1, d = 2.546 Å, intensity 32
- hkl 2 2 2, d = 2.364 Å, intensity 43

(4)
# Li3Mn4F19
Simulated powder diffraction line list, Cu Kα X-rays. Input: the PBE+U geometry in the Materials Project.

Structure:
```
data_Li3Mn4F19
_cell_length_a 5.586
_cell_length_b 11.125
_cell_length_c 12.132
_cell_angle_alpha 114.66
_cell_angle_beta 92.71
_cell_angle_gamma 93.77
_space_group_name_H-M_alt 'P -1'
_space_group_IT_number 2
_space_group_name_Hall '-P 1'
loop_
_atom_site_label
_atom_site_fract_x
_atom_site_fract_y
_atom_site_fract_z
Li1 0.043 0.240 0.460
Li2 0.134 0.537 0.225
Li3 0.395 0.863 0.918
Mn1 0.099 0.014 0.205
Mn2 0.217 0.329 0.974
Mn3 0.381 0.568 0.621
Mn4 0.481 0.868 0.376
F1 0.005 0.171 0.882
F2 0.034 0.343 0.094
F3 0.072 0.404 0.886
F4 0.110 0.937 0.882
F5 0.115 0.979 0.688
F6 0.134 0.501 0.675
F7 0.188 0.643 0.546
F8 0.195 0.183 0.305
F9 0.238 0.739 0.336
F10 0.313 0.201 0.552
F11 0.325 0.957 0.522
F12 0.326 0.965 0.303
F13 0.338 0.004 0.100
F14 0.356 0.404 0.473
F15 0.367 0.486 0.076
F16 0.396 0.221 0.768
F17 0.400 0.499 0.311
F18 0.415 0.723 0.754
F19 0.448 0.241 0.007
```

Main lines, by angle (15° ≤ 2θ ≤ 90°):
- hkl 0 2 -1, d = 5.548 Å, intensity 29
- hkl 1 0 -1, d = 5.131 Å, intensity 33
- hkl 1 1 -2, d = 4.147 Å, intensity 50
- hkl 1 1 1, d = 3.945 Å, intensity 25
- hkl 1 2 -1, d = 3.808 Å, intensity 55
- hkl 1 -2 2, d = 3.697 Å, intensity 100
- hkl 0 3 -1, d = 3.668 Å, intensity 29
- hkl 1 0 -3, d = 3.181 Å, intensity 23
- hkl 0 2 2, d = 3.114 Å, intensity 25
- hkl 2 -4 4, d = 1.848 Å, intensity 38

> What is the formula in the first record?

Mg14CuNiO16

What did the second record say?
# LiMn4O8
Simulated powder diffraction line list, Cu Kα X-rays. Input: the PBE+U geometry in the Materials Project.

Structure:
```
data_LiMn4O8
_cell_length_a 5.914
_cell_length_b 9.762
_cell_length_c 9.489
_cell_angle_alpha 90.00
_cell_angle_beta 90.00
_cell_angle_gamma 90.00
_space_group_name_H-M_alt 'C m c 21'
_space_group_IT_number 36
_space_group_name_Hall 'C 2c -2'
loop_
_atom_site_label
_atom_site_fract_x
_atom_site_fract_y
_atom_site_fract_z
Li1 0.000 0.127 0.000
Mn1 0.000 0.145 0.435
Mn2 0.000 0.382 0.936
Mn3 0.245 0.380 0.211
O1 0.000 0.034 0.612
O2 0.000 0.221 0.798
O3 0.000 0.278 0.287
O4 0.000 0.479 0.115
O5 0.229 0.273 0.036
O6 0.249 0.483 0.858
```

Main lines, by angle (15° ≤ 2θ ≤ 90°):
- hkl 0 2 1, d = 4.340 Å, intensity 100
- hkl 0 2 3, d = 2.654 Å, intensity 34
- hkl 2 0 2, d = 2.509 Å, intensity 24
- hkl 2 2 1, d = 2.443 Å, intensity 38
- hkl 2 2 2, d = 2.232 Å, intensity 15
- hkl 2 4 2, d = 1.750 Å, intensity 34
- hkl 0 4 4, d = 1.701 Å, intensity 16
- hkl 2 2 5, d = 1.518 Å, intensity 17
- hkl 2 6 1, d = 1.410 Å, intensity 10
- hkl 2 0 6, d = 1.395 Å, intensity 10